For SrPr2Hg2, a GGA-PBE-relaxed structure gives the calculated XRD peak list in this record (Cu Kα, 1.54184 Å).
No peak broadening, texture or thermal motion is included.

Main lines, sorted by position (15° ≤ 2θ ≤ 90°):
2θ = 16.3°, intensity 361; 2θ = 24.5°, intensity 170; 2θ = 28.4°, intensity 271; 2θ = 30.7°, intensity 1000; 2θ = 32.8°, intensity 969; 2θ = 34.0°, intensity 718; 2θ = 34.9°, intensity 251; 2θ = 44.0°, intensity 146; 2θ = 46.2°, intensity 194; 2θ = 47.2°, intensity 182; 2θ = 57.4°, intensity 696; 2θ = 58.6°, intensity 302

Cell lengths 11.049, 11.049, 3.848 Å; angles 90.00, 90.00, 159.52 degrees
Element x y z (fractional)
Sr: 0.000 0.000 0.000
Pr: 0.178 0.822 0.000
Pr: 0.822 0.178 0.000
Hg: 0.402 0.598 0.500
Hg: 0.598 0.402 0.500